Diffraction record for Sm3TmPb4. The powder diffraction line list is simulated, not measured: it uses a cell relaxed with GGA-PBE and Cu Kα, 1.54184 Å.
No peak broadening, texture or thermal motion is included.

Peak list (12 most intense, 2θ from 10° to 90°, low angle first)
- hkl 1 1 1, 2θ 20.9, I = 1
- hkl 2 1 1, 2θ 25.1, I = 1
- hkl 4 0 0, 2θ 31.9, I = 100
- hkl 0 2 2, 2θ 39.3, I = 23
- hkl 4 2 2, 2θ 51.5, I = 21
- hkl 0 4 0, 2θ 56.8, I = 8
- hkl 6 2 0, 2θ 56.9, I = 16
- hkl 4 4 0, 2θ 66.6, I = 30
- hkl 8 0 0, 2θ 66.8, I = 2
- hkl 8 2 2, 2θ 80.3, I = 6
- hkl 0 4 4, 2θ 84.5, I = 3
- hkl 6 4 2, 2θ 84.6, I = 11

Crystal structure
abc: 11.2030 6.4855 6.4879
angles: 90.00 90.00 90.00
Fractional positions:
Sm (0.0000, 0.0000, 0.0000)
Sm (0.2500, 0.2519, 0.2500)
Sm (0.2500, 0.7481, 0.7500)
Sm (0.5000, 0.0000, 0.5000)
Sm (0.7500, 0.2519, 0.2500)
Sm (0.7500, 0.7481, 0.7500)
Tm (0.0000, 0.5000, 0.5000)
Tm (0.5000, 0.5000, 0.0000)
Pb (0.0000, 0.0000, 0.5000)
Pb (0.0000, 0.5000, 0.0000)
Pb (0.2500, 0.2489, 0.7500)
Pb (0.2500, 0.7511, 0.2500)
Pb (0.5000, 0.0000, 0.0000)
Pb (0.5000, 0.5000, 0.5000)
Pb (0.7500, 0.2489, 0.7500)
Pb (0.7500, 0.7511, 0.2500)